Theoretical XRD peak list
Compound: Rb2IrF7
Radiation: Cu Kα, 1.54184 Å
Structure: DFT lattice parameters and positions (PBE)
Lines closer than 0.1° are merged.

Crystal structure
abc: 6.490 6.490 6.490
angles: 60.00 60.00 60.00
Fractional coordinates of all 10 atoms:
Rb 0.250 0.250 0.250
Rb 0.750 0.750 0.750
Ir 0.000 0.000 0.000
F 0.211 0.211 0.789
F 0.211 0.789 0.211
F 0.211 0.789 0.789
F 0.500 0.500 0.500
F 0.789 0.211 0.211
F 0.789 0.211 0.789
F 0.789 0.789 0.211

Peak list (10 most intense, 10° ≤ 2θ ≤ 90°, most intense first)
2θ = 27.5°, d = 3.245 Å, intensity 100; 2θ = 16.7°, d = 5.299 Å, intensity 68; 2θ = 48.6°, d = 1.873 Å, intensity 38; 2θ = 39.3°, d = 2.294 Å, intensity 36; 2θ = 32.4°, d = 2.767 Å, intensity 27; 2θ = 77.9°, d = 1.226 Å, intensity 23; 2θ = 56.7°, d = 1.622 Å, intensity 22; 2θ = 64.2°, d = 1.451 Å, intensity 21; 2θ = 51.8°, d = 1.766 Å, intensity 15; 2θ = 59.6°, d = 1.551 Å, intensity 14

=====

Theoretical XRD peak list
Compound: RbSbIrF2
Radiation: Cu Kα, 1.54184 Å
Structure: DFT lattice parameters and positions (PBE)
Lines closer than 0.1° are merged.

Crystal structure
abc: 4.802 4.802 4.981
angles: 90.00 90.00 90.00
Fractional coordinates of all 5 atoms:
Rb 0.000 0.000 0.000
Sb 0.500 0.500 0.000
Ir 0.500 0.500 0.500
F 0.000 0.500 0.500
F 0.500 0.000 0.500

Peak list (10 most intense, 10° ≤ 2θ ≤ 90°, most intense first)
2θ = 26.2°, d = 3.396 Å, intensity 100; 2θ = 18.5°, d = 4.802 Å, intensity 90; 2θ = 37.5°, d = 2.401 Å, intensity 59; 2θ = 45.1°, d = 2.008 Å, intensity 47; 2θ = 53.0°, d = 1.729 Å, intensity 43; 2θ = 25.8°, d = 3.457 Å, intensity 39; 2θ = 36.1°, d = 2.491 Å, intensity 33; 2θ = 40.8°, d = 2.211 Å, intensity 25; 2θ = 73.0°, d = 1.297 Å, intensity 24; 2θ = 42.1°, d = 2.148 Å, intensity 23

=====

Theoretical XRD peak list
Compound: Rb2IrSeF6
Radiation: Cu Kα, 1.54184 Å
Structure: DFT lattice parameters and positions (PBE)
Lines closer than 0.1° are merged.

Crystal structure
abc: 6.771 6.771 6.771
angles: 126.84 126.84 78.51
Fractional coordinates of all 10 atoms:
Rb 0.250 0.750 0.500
Rb 0.750 0.250 0.500
Ir 0.000 0.000 0.000
Se 0.500 0.500 0.000
F 0.193 0.193 0.000
F 0.241 0.241 0.483
F 0.241 0.759 0.000
F 0.759 0.241 0.000
F 0.759 0.759 0.517
F 0.807 0.807 0.000

Peak list (10 most intense, 10° ≤ 2θ ≤ 90°, most intense first)
2θ = 26.9°, d = 3.318 Å, intensity 100; 2θ = 29.5°, d = 3.030 Å, intensity 40; 2θ = 16.9°, d = 5.246 Å, intensity 38; 2θ = 50.7°, d = 1.800 Å, intensity 35; 2θ = 34.2°, d = 2.622 Å, intensity 31; 2θ = 42.2°, d = 2.142 Å, intensity 29; 2θ = 45.8°, d = 1.983 Å, intensity 27; 2θ = 55.4°, d = 1.659 Å, intensity 27; 2θ = 56.9°, d = 1.618 Å, intensity 15; 2θ = 79.7°, d = 1.204 Å, intensity 15

=====

Theoretical XRD peak list
Compound: Rb2SrIrF6
Radiation: Cu Kα, 1.54184 Å
Structure: DFT lattice parameters and positions (PBE)
Lines closer than 0.1° are merged.

Crystal structure
abc: 6.420 6.420 6.420
angles: 118.53 118.53 92.57
Fractional coordinates of all 10 atoms:
Rb 0.250 0.750 0.500
Rb 0.750 0.250 0.500
Sr 0.000 0.000 0.000
Ir 0.500 0.500 0.000
F 0.255 0.255 0.510
F 0.255 0.745 0.000
F 0.268 0.268 0.000
F 0.732 0.732 0.000
F 0.745 0.255 0.000
F 0.745 0.745 0.490

Peak list (10 most intense, 10° ≤ 2θ ≤ 90°, most intense first)
2θ = 27.8°, d = 3.207 Å, intensity 100; 2θ = 27.2°, d = 3.281 Å, intensity 53; 2θ = 48.4°, d = 1.880 Å, intensity 44; 2θ = 38.8°, d = 2.320 Å, intensity 39; 2θ = 57.5°, d = 1.603 Å, intensity 23; 2θ = 16.8°, d = 5.276 Å, intensity 22; 2θ = 49.6°, d = 1.838 Å, intensity 20; 2θ = 40.7°, d = 2.218 Å, intensity 17; 2θ = 19.1°, d = 4.640 Å, intensity 15; 2θ = 56.1°, d = 1.641 Å, intensity 13

=====

Theoretical XRD peak list
Compound: Rb2TiIrF6
Radiation: Cu Kα, 1.54184 Å
Structure: DFT lattice parameters and positions (PBE)
Lines closer than 0.1° are merged.

Crystal structure
abc: 6.387 6.387 6.387
angles: 112.60 112.60 103.39
Fractional coordinates of all 10 atoms:
Rb 0.250 0.750 0.500
Rb 0.750 0.250 0.500
Ti 0.000 0.000 0.000
Ir 0.500 0.500 0.000
F 0.190 0.190 0.379
F 0.190 0.810 0.000
F 0.244 0.244 0.000
F 0.756 0.756 0.000
F 0.810 0.190 0.000
F 0.810 0.810 0.621

Peak list (10 most intense, 10° ≤ 2θ ≤ 90°, most intense first)
2θ = 28.7°, d = 3.107 Å, intensity 100; 2θ = 25.1°, d = 3.544 Å, intensity 74; 2θ = 35.8°, d = 2.506 Å, intensity 46; 2θ = 46.6°, d = 1.950 Å, intensity 44; 2θ = 30.4°, d = 2.943 Å, intensity 31; 2θ = 16.8°, d = 5.281 Å, intensity 27; 2θ = 59.5°, d = 1.553 Å, intensity 20; 2θ = 53.0°, d = 1.728 Å, intensity 19; 2θ = 58.2°, d = 1.585 Å, intensity 18; 2θ = 72.0°, d = 1.312 Å, intensity 16

=====

Theoretical XRD peak list
Compound: IrSF
Radiation: Cu Kα, 1.54184 Å
Structure: DFT lattice parameters and positions (PBE)
Lines closer than 0.1° are merged.

Crystal structure
abc: 5.772 5.772 5.772
angles: 33.92 33.92 33.92
Fractional coordinates of all 3 atoms:
Ir 0.000 0.000 0.000
S 0.263 0.263 0.263
F 0.743 0.743 0.743

Peak list (10 most intense, 10° ≤ 2θ ≤ 90°, most intense first)
2θ = 16.3°, d = 5.435 Å, intensity 100; 2θ = 31.2°, d = 2.871 Å, intensity 54; 2θ = 37.9°, d = 2.372 Å, intensity 53; 2θ = 32.6°, d = 2.746 Å, intensity 26; 2θ = 57.3°, d = 1.608 Å, intensity 23; 2θ = 41.5°, d = 2.174 Å, intensity 22; 2θ = 50.1°, d = 1.820 Å, intensity 19; 2θ = 54.5°, d = 1.684 Å, intensity 18; 2θ = 55.0°, d = 1.671 Å, intensity 17; 2θ = 68.3°, d = 1.373 Å, intensity 9